Entry 1:
NdDyGa2Ni4: theoretical powder diffractogram (Cu Kα, 1.54184 Å), based on a structure optimized by DFT (GGA-PBE).
Lines closer than 0.1° are merged.

Top 10 peaks for 2θ = 10–90°, in order of rising 2θ:
- 24.67 deg, d = 3.608 Å, I = 14, (1 0 0)
- 26.57 deg, d = 3.354 Å, I = 42, (1 0 1)
- 31.64 deg, d = 2.828 Å, I = 33, (1 0 2)
- 38.78 deg, d = 2.322 Å, I = 100, (1 0 3)
- 39.60 deg, d = 2.276 Å, I = 16, (0 0 4)
- 43.44 deg, d = 2.083 Å, I = 85, (1 1 0)
- 59.62 deg, d = 1.551 Å, I = 27, (2 0 3)
- 60.22 deg, d = 1.537 Å, I = 28, (1 1 4)
- 76.60 deg, d = 1.244 Å, I = 26, (2 1 3)
- 79.73 deg, d = 1.203 Å, I = 13, (3 0 0)

Structural model:
```
data_NdDyGa2Ni4
_cell_length_a 4.1664
_cell_length_b 4.1664
_cell_length_c 9.1030
_cell_angle_alpha 90.00
_cell_angle_beta 90.00
_cell_angle_gamma 120.00
_space_group_name_H-M_alt 'P -6 m 2'
_space_group_IT_number 187
_space_group_name_Hall 'P -6 2'
loop_
_atom_site_label
_atom_site_type_symbol
_atom_site_fract_x
_atom_site_fract_y
_atom_site_fract_z
Nd1 Nd 0.0000 0.0000 0.0000
Dy1 Dy 0.6667 0.3333 0.5000
Ga1 Ga 0.3333 0.6667 0.2584
Ni1 Ni 0.0000 0.0000 0.3174
Ni2 Ni 0.6667 0.3333 0.1999
```



Entry 2:
Rb2PdBr2F2: theoretical powder diffractogram (Cu Kα, 1.54184 Å), based on a structure optimized by DFT (GGA-PBE).
Lines closer than 0.1° are merged.

Top 10 peaks for 2θ = 10–90°, in order of rising 2θ:
- 13.47 deg, d = 6.574 Å, I = 18, (1 1 0)
- 27.71 deg, d = 3.219 Å, I = 100, (0 2 1)
- 31.31 deg, d = 2.856 Å, I = 15, (2 0 1)
- 32.67 deg, d = 2.741 Å, I = 36, (0 4 0)
- 33.75 deg, d = 2.656 Å, I = 22, (3 1 0)
- 35.43 deg, d = 2.533 Å, I = 30, (2 2 1)
- 40.86 deg, d = 2.209 Å, I = 26, (3 1 1)
- 45.63 deg, d = 1.988 Å, I = 17, (0 0 2)
- 52.89 deg, d = 1.731 Å, I = 18, (4 2 1)
- 55.32 deg, d = 1.661 Å, I = 18, (0 6 1)

Structural model:
```
data_Rb2PdBr2F2
_cell_length_a 8.2129
_cell_length_b 10.9655
_cell_length_c 3.9761
_cell_angle_alpha 90.00
_cell_angle_beta 90.00
_cell_angle_gamma 90.00
_space_group_name_H-M_alt 'C m m m'
_space_group_IT_number 65
_space_group_name_Hall '-C 2 2'
loop_
_atom_site_label
_atom_site_type_symbol
_atom_site_fract_x
_atom_site_fract_y
_atom_site_fract_z
Rb1 Rb 0.2500 0.2500 0.0000
Pd1 Pd 0.0000 0.0000 0.5000
Br1 Br 0.2009 0.5000 0.5000
F1 F 0.0000 0.1844 0.5000
```



Entry 3:
Tm8Os: theoretical powder diffractogram (Cu Kα, 1.54184 Å), based on a structure optimized by DFT (GGA-PBE).
Lines closer than 0.1° are merged.

Top 10 peaks for 2θ = 10–90°, in order of rising 2θ:
- 30.61 deg, d = 2.920 Å, I = 53, (2 1 0)
- 31.89 deg, d = 2.806 Å, I = 100, (1 1 1)
- 33.99 deg, d = 2.638 Å, I = 66, (2 0 1)
- 34.84 deg, d = 2.575 Å, I = 77, (3 0 0)
- 39.70 deg, d = 2.271 Å, I = 59, (2 1 1)
- 50.56 deg, d = 1.805 Å, I = 18, (0 0 2)
- 57.96 deg, d = 1.591 Å, I = 38, (3 2 1)
- 60.27 deg, d = 1.536 Å, I = 16, (2 1 2)
- 60.61 deg, d = 1.528 Å, I = 18, (4 1 1)
- 62.87 deg, d = 1.478 Å, I = 28, (3 0 2)

Structural model:
```
data_Tm8Os
_cell_length_a 8.9216
_cell_length_b 8.9216
_cell_length_c 3.6105
_cell_angle_alpha 90.00
_cell_angle_beta 90.00
_cell_angle_gamma 120.00
_space_group_name_H-M_alt 'P -6 2 m'
_space_group_IT_number 189
_space_group_name_Hall 'P -6 -2'
loop_
_atom_site_label
_atom_site_type_symbol
_atom_site_fract_x
_atom_site_fract_y
_atom_site_fract_z
Tm1 Tm 0.0000 0.2455 0.0000
Tm2 Tm 0.0000 0.6272 0.5000
Tm3 Tm 0.3333 0.6667 0.0000
Os1 Os 0.0000 0.0000 0.5000
```



Entry 4:
Li2ScZnGa2Pt2: theoretical powder diffractogram (Cu Kα, 1.54184 Å), based on a structure optimized by DFT (GGA-PBE).
Lines closer than 0.1° are merged.

Top 10 peaks for 2θ = 10–90°, in order of rising 2θ:
- 24.76 deg, d = 3.596 Å, I = 100, (1 0 1)
- 40.92 deg, d = 2.206 Å, I = 83, (1 1 2)
- 41.13 deg, d = 2.194 Å, I = 41, (2 0 0)
- 48.23 deg, d = 1.887 Å, I = 17, (1 0 3)
- 48.61 deg, d = 1.873 Å, I = 33, (2 1 1)
- 59.58 deg, d = 1.552 Å, I = 14, (2 2 0)
- 65.20 deg, d = 1.431 Å, I = 14, (2 1 3)
- 74.37 deg, d = 1.276 Å, I = 14, (2 0 4)
- 74.81 deg, d = 1.269 Å, I = 27, (3 1 2)
- 88.70 deg, d = 1.103 Å, I = 9, (2 2 4)

Structural model:
```
data_Li2ScZnGa2Pt2
_cell_length_a 4.3890
_cell_length_b 4.3890
_cell_length_c 6.2703
_cell_angle_alpha 90.00
_cell_angle_beta 90.00
_cell_angle_gamma 90.00
_space_group_name_H-M_alt 'P -4 m 2'
_space_group_IT_number 115
loop_
_space_group_symop_operation_xyz
'x,y,z'
'y,-x,-z'
'-x,-y,z'
'-y,x,-z'
'-x,y,z'
'-y,-x,-z'
'x,-y,z'
'y,x,-z'
loop_
_atom_site_label
_atom_site_type_symbol
_atom_site_fract_x
_atom_site_fract_y
_atom_site_fract_z
Li1 Li 0.0000 0.5000 0.2183
Sc1 Sc 0.5000 0.5000 0.5000
Zn1 Zn 0.0000 0.0000 0.0000
Ga1 Ga 0.0000 0.0000 0.5000
Ga2 Ga 0.5000 0.5000 0.0000
Pt1 Pt 0.0000 0.5000 0.7545
```



Entry 5:
Mo3PbN2: theoretical powder diffractogram (Cu Kα, 1.54184 Å), based on a structure optimized by DFT (GGA-PBE).
Lines closer than 0.1° are merged.

Top 10 peaks for 2θ = 10–90°, in order of rising 2θ:
- 31.36 deg, d = 2.853 Å, I = 18, (1 0 0)
- 31.77 deg, d = 2.817 Å, I = 10, (1 0 1)
- 32.98 deg, d = 2.716 Å, I = 14, (1 0 2)
- 37.47 deg, d = 2.400 Å, I = 100, (1 0 4)
- 40.62 deg, d = 2.221 Å, I = 22, (0 0 8)
- 52.21 deg, d = 1.752 Å, I = 12, (1 0 8)
- 55.82 deg, d = 1.647 Å, I = 26, (1 1 0)
- 69.18 deg, d = 1.358 Å, I = 17, (2 0 4)
- 71.30 deg, d = 1.323 Å, I = 21, (1 1 8)
- 71.86 deg, d = 1.314 Å, I = 13, (1 0 12)

Structural model:
```
data_Mo3PbN2
_cell_length_a 3.2939
_cell_length_b 3.2939
_cell_length_c 17.7620
_cell_angle_alpha 90.00
_cell_angle_beta 90.00
_cell_angle_gamma 120.00
_space_group_name_H-M_alt 'P 63/m m c'
_space_group_IT_number 194
_space_group_name_Hall '-P 6c 2c'
loop_
_atom_site_label
_atom_site_type_symbol
_atom_site_fract_x
_atom_site_fract_y
_atom_site_fract_z
Mo1 Mo 0.0000 0.0000 0.0000
Mo2 Mo 0.3333 0.6667 0.1164
Pb1 Pb 0.0000 0.0000 0.2500
N1 N 0.3333 0.6667 0.5685
```



Copy entry 3 word for word.
Tm8Os: theoretical powder diffractogram (Cu Kα, 1.54184 Å), based on a structure optimized by DFT (GGA-PBE).
Lines closer than 0.1° are merged.

Top 10 peaks for 2θ = 10–90°, in order of rising 2θ:
- 30.61 deg, d = 2.920 Å, I = 53, (2 1 0)
- 31.89 deg, d = 2.806 Å, I = 100, (1 1 1)
- 33.99 deg, d = 2.638 Å, I = 66, (2 0 1)
- 34.84 deg, d = 2.575 Å, I = 77, (3 0 0)
- 39.70 deg, d = 2.271 Å, I = 59, (2 1 1)
- 50.56 deg, d = 1.805 Å, I = 18, (0 0 2)
- 57.96 deg, d = 1.591 Å, I = 38, (3 2 1)
- 60.27 deg, d = 1.536 Å, I = 16, (2 1 2)
- 60.61 deg, d = 1.528 Å, I = 18, (4 1 1)
- 62.87 deg, d = 1.478 Å, I = 28, (3 0 2)

Structural model:
```
data_Tm8Os
_cell_length_a 8.9216
_cell_length_b 8.9216
_cell_length_c 3.6105
_cell_angle_alpha 90.00
_cell_angle_beta 90.00
_cell_angle_gamma 120.00
_space_group_name_H-M_alt 'P -6 2 m'
_space_group_IT_number 189
_space_group_name_Hall 'P -6 -2'
loop_
_atom_site_label
_atom_site_type_symbol
_atom_site_fract_x
_atom_site_fract_y
_atom_site_fract_z
Tm1 Tm 0.0000 0.2455 0.0000
Tm2 Tm 0.0000 0.6272 0.5000
Tm3 Tm 0.3333 0.6667 0.0000
Os1 Os 0.0000 0.0000 0.5000
```